Structure and simulated powder diffractogram of Li2Mn3F8 (a cell relaxed with PBE+U; Cu Kα X-rays).
Neutral-atom scattering factors, no anomalous dispersion.

Atomic structure:
Lattice parameters (Å, degrees): 6.451 6.451 9.233 90.00 90.00 120.00
Fractional coordinates of all 26 atoms:
Li: 0.333 0.667 0.000
Li: 0.333 0.667 0.365
Li: 0.667 0.333 0.500
Li: 0.667 0.333 0.865
Mn: 0.165 0.331 0.703
Mn: 0.165 0.835 0.703
Mn: 0.331 0.165 0.203
Mn: 0.669 0.835 0.703
Mn: 0.835 0.165 0.203
Mn: 0.835 0.669 0.203
F: 0.000 0.000 0.319
F: 0.000 0.000 0.819
F: 0.028 0.514 0.833
F: 0.173 0.345 0.099
F: 0.173 0.827 0.099
F: 0.333 0.667 0.579
F: 0.345 0.173 0.599
F: 0.486 0.514 0.833
F: 0.486 0.972 0.833
F: 0.514 0.028 0.333
F: 0.514 0.486 0.333
F: 0.655 0.827 0.099
F: 0.667 0.333 0.079
F: 0.827 0.173 0.599
F: 0.827 0.655 0.599
F: 0.972 0.486 0.333

Peak list (12 most intense, 15 to 90 degrees two-theta, sorted by position)
18.6°, I = 45
19.2°, I = 100
25.0°, I = 15
33.5°, I = 50
33.9°, I = 18
37.6°, I = 68
43.8°, I = 66
51.3°, I = 18
57.1°, I = 43
60.1°, I = 35
60.8°, I = 21
87.6°, I = 14